1.
Theoretical powder XRD pattern
Compound: HoEr3In2C2
Radiation: Cu Kα X-rays
Structure: a GGA-PBE-relaxed structure
Intensities are scaled so that the largest is 100.

a = 3.5706 Å, b = 3.5706 Å, c = 16.1978 Å
α = 90.00°, β = 90.00°, γ = 120.00°
Space group P3m1 (No. 156)
Symmetry-distinct sites (fractional):
Ho 0.0000 0.0000 0.0000 [1 per cell]
Er 0.0000 0.0000 0.6647 [1 per cell]
Er 0.3333 0.6667 0.1655 [1 per cell]
Er 0.3333 0.6667 0.5000 [1 per cell]
In 0.0000 0.0000 0.3326 [1 per cell]
In 0.3333 0.6667 0.8318 [1 per cell]
C 0.6667 0.3333 0.0829 [1 per cell]
C 0.6667 0.3333 0.5824 [1 per cell]

Largest 10 diffraction maxima, in order of rising 2θ, 10° ≤ 2θ ≤ 90°:
| h k l | 2θ (°) | I/Imax |
| --- | --- | --- |
| 1 0 0 | 28.9 | 21.9 |
| 0 0 6 | 33.2 | 21.5 |
| 1 0 3 | 33.4 | 100.0 |
| 0 1 6 | 44.6 | 16.2 |
| 1 1 0 | 51.2 | 20.7 |
| 1 0 9 | 59.4 | 19.0 |
| 1 1 6 | 62.4 | 21.1 |
| 0 2 3 | 62.5 | 16.3 |
| 0 2 9 | 82.2 | 7.6 |
| 2 1 3 | 84.9 | 14.1 |



2.
Theoretical powder XRD pattern
Compound: HoErIr2C3
Radiation: Cu Kα X-rays
Structure: a GGA-PBE-relaxed structure
Intensities are scaled so that the largest is 100.

a = 11.381 Å, b = 3.433 Å, c = 5.239 Å
α = 90.00°, β = 105.23°, γ = 90.00°
Space group Cm (No. 8)
Symmetry-distinct sites (fractional):
Ho 0.000 0.000 0.000 [2 per cell]
Er 0.250 0.500 0.365 [2 per cell]
Ir 0.007 0.500 0.510 [2 per cell]
Ir 0.244 0.000 0.855 [2 per cell]
C 0.104 0.000 0.476 [2 per cell]
C 0.147 0.500 0.890 [2 per cell]
C 0.375 0.000 0.680 [2 per cell]

Largest 10 diffraction maxima, in order of rising 2θ, 10° ≤ 2θ ≤ 90°:
| h k l | 2θ (°) | I/Imax |
| --- | --- | --- |
| 4 0 0 | 32.6 | 56.2 |
| 1 1 1 | 33.7 | 100.0 |
| 2 0 -2 | 35.0 | 27.7 |
| 0 0 2 | 35.5 | 18.9 |
| 3 1 -1 | 37.1 | 76.8 |
| 2 0 2 | 43.1 | 26.4 |
| 0 2 0 | 53.4 | 16.8 |
| 5 1 1 | 56.6 | 25.2 |
| 3 1 -3 | 60.5 | 16.9 |
| 4 2 0 | 64.0 | 17.0 |



3.
Theoretical powder XRD pattern
Compound: HoErSi2Mo2C
Radiation: Cu Kα X-rays
Structure: a GGA-PBE-relaxed structure
Intensities are scaled so that the largest is 100.

a = 11.127 Å, b = 3.792 Å, c = 7.109 Å
α = 90.00°, β = 125.60°, γ = 90.00°
Space group Cm (No. 8)
Symmetry-distinct sites (fractional):
Ho 0.000 0.000 0.000 [2 per cell]
Er 0.149 0.000 0.590 [2 per cell]
Si 0.206 0.500 0.958 [2 per cell]
Si 0.444 0.000 0.633 [2 per cell]
Mo 0.281 0.500 0.381 [2 per cell]
Mo 0.369 0.000 0.211 [2 per cell]
C 0.075 0.500 0.296 [2 per cell]

Largest 10 diffraction maxima, in order of rising 2θ, 10° ≤ 2θ ≤ 90°:
| h k l | 2θ (°) | I/Imax |
| --- | --- | --- |
| 2 0 -2 | 25.1 | 21.2 |
| 1 1 0 | 25.5 | 27.1 |
| 2 0 1 | 31.4 | 45.4 |
| 1 1 1 | 32.8 | 16.7 |
| 4 0 -1 | 33.1 | 32.0 |
| 3 1 -1 | 33.9 | 89.4 |
| 1 1 -2 | 35.6 | 100.0 |
| 4 0 -3 | 40.1 | 30.3 |
| 0 2 0 | 48.0 | 24.6 |
| 4 2 -3 | 64.3 | 22.9 |